Structure and computed PXRD pattern of Sm2ZrCuSe5 (a DFT-relaxed cell (PBE, Alexandria); copper Kα).
Intensities are scaled so that the largest is 100.

Peak list (10 most intense, 2θ = 15–90°, low angle first)
- 2θ 24.43, intensity 20.5
- 2θ 31.16, intensity 16.2
- 2θ 31.74, intensity 35.6
- 2θ 32.21, intensity 100.0
- 2θ 34.34, intensity 19.2
- 2θ 37.54, intensity 51.7
- 2θ 41.25, intensity 15.3
- 2θ 44.29, intensity 13.3
- 2θ 45.95, intensity 29.6
- 2θ 56.92, intensity 13.1

Atomic structure:
a = 8.9216 Å, b = 8.9216 Å, c = 12.0373 Å
α = 90.00°, β = 90.00°, γ = 154.42°
Fractional positions:
Sm 0.1142 0.8858 0.5000
Sm 0.1257 0.8743 0.1250
Sm 0.8743 0.1257 0.6250
Sm 0.8858 0.1142 0.0000
Zr 0.1863 0.8137 0.8227
Zr 0.8137 0.1863 0.3227
Cu 0.4334 0.5666 0.2489
Cu 0.5666 0.4334 0.7489
Se 0.0399 0.9601 0.8572
Se 0.2906 0.7094 0.4811
Se 0.3063 0.6937 0.1603
Se 0.3496 0.6504 0.8150
Se 0.4959 0.5041 0.5779
Se 0.5041 0.4959 0.0779
Se 0.6504 0.3496 0.3150
Se 0.6937 0.3063 0.6603
Se 0.7094 0.2906 0.9811
Se 0.9601 0.0399 0.3572

---

Structure and computed PXRD pattern of CuSnSe4 (a DFT-relaxed cell (PBE, Alexandria); copper Kα).
Intensities are scaled so that the largest is 100.

Peak list (10 most intense, 2θ = 15–90°, low angle first)
- 2θ 23.92, intensity 100.0
- 2θ 29.02, intensity 21.5
- 2θ 31.28, intensity 81.7
- 2θ 32.71, intensity 86.3
- 2θ 40.93, intensity 34.9
- 2θ 42.63, intensity 90.4
- 2θ 51.92, intensity 47.7
- 2θ 53.35, intensity 17.5
- 2θ 62.73, intensity 19.7
- 2θ 65.26, intensity 18.3

Atomic structure:
a = 5.0696 Å, b = 7.7434 Å, c = 7.7434 Å
α = 90.00°, β = 90.09°, γ = 90.00°
Fractional positions:
Cu 0.0000 0.2501 0.2500
Cu 0.0000 0.7499 0.7500
Sn 0.5000 0.2499 0.7500
Sn 0.5000 0.7501 0.2500
Se 0.2077 0.0525 0.4475
Se 0.2078 0.4474 0.0526
Se 0.2078 0.5526 0.5526
Se 0.2077 0.9475 0.9475
Se 0.7923 0.0525 0.0525
Se 0.7922 0.4474 0.4474
Se 0.7922 0.5526 0.9474
Se 0.7923 0.9475 0.5525

---

Structure and computed PXRD pattern of SrCuSn2Se4 (a DFT-relaxed cell (PBE, Alexandria); copper Kα).
Intensities are scaled so that the largest is 100.

Peak list (10 most intense, 2θ = 15–90°, low angle first)
- 2θ 27.80, intensity 38.8
- 2θ 28.85, intensity 21.9
- 2θ 29.51, intensity 72.2
- 2θ 31.42, intensity 100.0
- 2θ 33.50, intensity 28.9
- 2θ 38.21, intensity 46.3
- 2θ 42.99, intensity 40.4
- 2θ 43.62, intensity 50.1
- 2θ 43.83, intensity 23.4
- 2θ 55.55, intensity 22.7

Atomic structure:
a = 7.1666 Å, b = 7.1666 Å, c = 14.5299 Å
α = 90.00°, β = 90.00°, γ = 145.86°
Fractional positions:
Sr 0.1087 0.8913 0.7500
Sr 0.8913 0.1087 0.2500
Cu 0.1556 0.8444 0.2500
Cu 0.8444 0.1556 0.7500
Sn 0.3665 0.6335 0.5572
Sn 0.3665 0.6335 0.9428
Sn 0.6335 0.3665 0.0572
Sn 0.6335 0.3665 0.4428
Se 0.0000 0.0000 0.0000
Se 0.0000 0.0000 0.5000
Se 0.2756 0.7244 0.1227
Se 0.2756 0.7244 0.3773
Se 0.4360 0.5640 0.7500
Se 0.5640 0.4360 0.2500
Se 0.7244 0.2756 0.6227
Se 0.7244 0.2756 0.8773

---

Structure and computed PXRD pattern of ThCuSn2Se5 (a DFT-relaxed cell (PBE, Alexandria); copper Kα).
Intensities are scaled so that the largest is 100.

Peak list (10 most intense, 2θ = 15–90°, low angle first)
- 2θ 20.19, intensity 35.4
- 2θ 25.71, intensity 13.9
- 2θ 29.53, intensity 30.8
- 2θ 29.80, intensity 100.0
- 2θ 35.03, intensity 30.3
- 2θ 40.42, intensity 17.9
- 2θ 42.56, intensity 16.2
- 2θ 43.62, intensity 23.5
- 2θ 45.30, intensity 19.7
- 2θ 53.56, intensity 14.5

Atomic structure:
a = 9.5431 Å, b = 9.5431 Å, c = 13.3789 Å
α = 90.00°, β = 90.00°, γ = 154.88°
Fractional positions:
Th 0.1942 0.8058 0.5000
Th 0.8058 0.1942 0.0000
Cu 0.4361 0.5639 0.8785
Cu 0.5639 0.4361 0.3785
Sn 0.0619 0.9381 0.1157
Sn 0.1512 0.8488 0.8242
Sn 0.8488 0.1512 0.3242
Sn 0.9381 0.0619 0.6157
Se 0.0385 0.9615 0.4645
Se 0.3016 0.6984 0.1470
Se 0.3022 0.6978 0.8444
Se 0.3529 0.6471 0.4740
Se 0.4991 0.5009 0.7225
Se 0.5009 0.4991 0.2225
Se 0.6471 0.3529 0.9740
Se 0.6978 0.3022 0.3444
Se 0.6984 0.3016 0.6470
Se 0.9615 0.0385 0.9645

---

Structure and computed PXRD pattern of Zn4Cu11Sn5Se20 (a DFT-relaxed cell (PBE, Alexandria); copper Kα).
Intensities are scaled so that the largest is 100.

Peak list (10 most intense, 2θ = 15–90°, low angle first)
- 2θ 26.85, intensity 100.0
- 2θ 27.96, intensity 1.9
- 2θ 34.88, intensity 2.1
- 2θ 35.78, intensity 2.3
- 2θ 44.56, intensity 73.3
- 2θ 52.79, intensity 43.5
- 2θ 64.85, intensity 11.3
- 2θ 71.50, intensity 16.6
- 2θ 82.09, intensity 22.5
- 2θ 88.29, intensity 12.7

Atomic structure:
a = 10.7597 Å, b = 10.7597 Å, c = 10.7597 Å
α = 106.62°, β = 106.62°, γ = 115.35°
Fractional positions:
Zn 0.1003 0.6997 0.8003
Zn 0.3003 0.1006 0.4006
Zn 0.7001 0.8997 0.5994
Zn 0.8994 0.2999 0.1997
Cu 0.0528 0.3522 0.9032
Cu 0.1544 0.0523 0.7025
Cu 0.2500 0.7500 0.5000
Cu 0.3498 0.4519 0.2975
Cu 0.4490 0.1496 0.0968
Cu 0.5000 0.5000 0.0000
Cu 0.5481 0.8456 0.8979
Cu 0.6478 0.5510 0.7006
Cu 0.7500 0.2500 0.5000
Cu 0.8504 0.9472 0.2994
Cu 0.9477 0.6502 0.1021
Sn 0.0000 0.0000 0.0000
Sn 0.2047 0.4034 0.6029
Sn 0.3983 0.7953 0.1987
Sn 0.5966 0.1995 0.8013
Sn 0.8005 0.6017 0.3971
Se 0.0135 0.4201 0.7041
Se 0.0912 0.7877 0.6083
Se 0.1169 0.1100 0.4970
Se 0.1794 0.4830 0.3917
Se 0.2123 0.8206 0.3036
Se 0.2911 0.1877 0.2072
Se 0.3206 0.5079 0.0933
Se 0.3801 0.8831 0.9931
Se 0.4146 0.2273 0.9067
Se 0.4921 0.5854 0.8126
Se 0.5170 0.9088 0.6964
Se 0.5799 0.2840 0.5934
Se 0.6130 0.6199 0.5030
Se 0.6905 0.9865 0.4066
Se 0.7160 0.3095 0.2959
Se 0.7727 0.6794 0.1874
Se 0.8123 0.0195 0.1034
Se 0.8900 0.3870 0.0069
Se 0.9161 0.7089 0.8966
Se 0.9805 0.0839 0.7928

---

Structure and computed PXRD pattern of SrCuSe (a DFT-relaxed cell (PBE, Alexandria); copper Kα).
Intensities are scaled so that the largest is 100.

Peak list (10 most intense, 2θ = 15–90°, low angle first)
- 2θ 20.25, intensity 7.2
- 2θ 31.55, intensity 100.0
- 2θ 41.17, intensity 16.8
- 2θ 42.10, intensity 47.2
- 2θ 53.54, intensity 21.7
- 2θ 60.35, intensity 31.5
- 2θ 69.05, intensity 10.0
- 2θ 70.35, intensity 18.8
- 2θ 76.94, intensity 7.6
- 2θ 84.28, intensity 5.8

Atomic structure:
a = 4.2930 Å, b = 4.2930 Å, c = 4.3848 Å
α = 90.00°, β = 90.00°, γ = 120.00°
Fractional positions:
Sr 0.0000 0.0000 0.0000
Cu 0.6667 0.3333 0.5000
Se 0.3333 0.6667 0.5000